# Dy5PS5
Theoretical XRD peak list, copper Kα. Input: a crystal structure in Alexandria, relaxed with GGA-PBE.

Most intense lines, 10 to 90 degrees two-theta, sorted by position:
- 2θ = 27.85°, d = 3.204 Å, I 69
- 2θ = 32.26°, d = 2.775 Å, I 100
- 2θ = 46.27°, d = 1.962 Å, I 72
- 2θ = 54.84°, d = 1.674 Å, I 22
- 2θ = 54.92°, d = 1.672 Å, I 11
- 2θ = 57.53°, d = 1.602 Å, I 25
- 2θ = 76.75°, d = 1.242 Å, I 13
- 2θ = 76.86°, d = 1.240 Å, I 18
- 2θ = 85.72°, d = 1.133 Å, I 12
- 2θ = 85.82°, d = 1.132 Å, I 12

```
Dy5PS5
1.0
6.2120 -2.7714 0.0000
6.2120 2.7714 0.0000
-2.4864 0.0000 7.4456
Dy P S
5 1 5
Direct
0.0000 0.0000 0.0000
0.3360 0.3360 0.6658
0.3403 0.3403 0.1734
0.6597 0.6597 0.8266
0.6640 0.6640 0.3342
0.5000 0.5000 0.0000
0.1695 0.1695 0.3323
0.1712 0.1712 0.8394
0.5000 0.5000 0.5000
0.8288 0.8288 0.1606
0.8305 0.8305 0.6677
```